The following is a computed PXRD pattern of Mg2Fe5Si8O24. It was derived from a crystal structure in Alexandria, relaxed with GGA+U, using Cu Kα.
Intensities are scaled so that the largest is 100.

Peak list (10 most intense, 2θ = 10–90°, by angle)
| 2θ/deg | I (rel.) |
| --- | --- |
| 10.6 | 100 |
| 16.8 | 16 |
| 25.3 | 36 |
| 27.3 | 28 |
| 28.7 | 47 |
| 32.3 | 52 |
| 36.2 | 47 |
| 40.7 | 48 |
| 54.3 | 26 |
| 66.8 | 17 |

Atomic structure:
Lattice parameters (Å, degrees): 10.213 10.213 5.359 94.31 94.31 124.05
Atoms (fractional coordinates):
Mg 0.000 0.000 0.000
Mg 0.823 0.177 0.000
Fe 0.080 0.920 0.500
Fe 0.566 0.434 0.500
Fe 0.645 0.355 0.000
Fe 0.744 0.256 0.500
Fe 0.902 0.098 0.500
Si 0.025 0.547 0.249
Si 0.192 0.380 0.250
Si 0.282 0.302 0.752
Si 0.361 0.053 0.251
Si 0.453 0.975 0.751
Si 0.620 0.808 0.750
Si 0.698 0.718 0.248
Si 0.947 0.639 0.749
O 0.021 0.203 0.206
O 0.040 0.663 0.497
O 0.045 0.637 0.002
O 0.108 0.126 0.700
O 0.169 0.524 0.294
O 0.199 0.048 0.222
O 0.283 0.402 0.005
O 0.306 0.395 0.499
O 0.337 0.960 0.503
O 0.363 0.955 0.998
O 0.443 0.306 0.777
O 0.476 0.831 0.706
O 0.535 0.228 0.311
O 0.598 0.717 0.995
O 0.605 0.694 0.501
O 0.626 0.149 0.792
O 0.694 0.557 0.223
O 0.722 0.076 0.319
O 0.772 0.465 0.689
O 0.797 0.979 0.794
O 0.851 0.374 0.208
O 0.874 0.892 0.300
O 0.924 0.278 0.681
O 0.952 0.801 0.778